# 1
# Nd2MgSe4
Simulated powder diffraction line list, copper Kα. Input: DFT lattice parameters and positions (GGA-PBE).
Intensities are scaled so that the largest is 100.

Structure:
```
Nd2MgSe4
1.0
14.629 0.000 0.000
0.000 8.565 0.000
0.000 0.000 6.966
Nd Mg Se
8 4 16
direct
0.000 0.000 0.000
0.000 0.500 0.000
0.233 0.250 0.499
0.267 0.750 0.999
0.500 0.000 0.500
0.500 0.500 0.500
0.733 0.250 0.001
0.767 0.750 0.501
0.093 0.750 0.583
0.407 0.250 0.083
0.593 0.750 0.917
0.907 0.250 0.417
0.069 0.250 0.255
0.092 0.750 0.217
0.169 0.513 0.754
0.169 0.987 0.754
0.331 0.013 0.254
0.331 0.487 0.254
0.408 0.250 0.717
0.431 0.750 0.755
0.569 0.250 0.245
0.592 0.750 0.283
0.669 0.513 0.746
0.669 0.987 0.746
0.831 0.013 0.246
0.831 0.487 0.246
0.908 0.250 0.783
0.931 0.750 0.745
```

Largest 12 diffraction maxima, in order of rising 2θ, 2θ from 10° to 80°:
14.1°, I 36; 17.5°, I 59; 22.3°, I 29; 24.6°, I 26; 25.2°, I 35; 27.3°, I 66; 27.5°, I 36; 35.4°, I 100; 35.6°, I 40; 42.2°, I 31; 42.7°, I 52; 56.4°, I 21


# 2
# CaZn2Ge2
Simulated powder diffraction line list, copper Kα. Input: DFT lattice parameters and positions (GGA-PBE).
Intensities are scaled so that the largest is 100.

Structure:
```
CaZn2Ge2
1.0
-2.162 2.162 5.342
2.162 -2.162 5.342
2.162 2.162 -5.342
Ca Zn Ge
1 2 2
direct
0.000 0.000 0.000
0.250 0.750 0.500
0.750 0.250 0.500
0.382 0.382 0.000
0.618 0.618 0.000
```

Largest 12 diffraction maxima, in order of rising 2θ, 2θ from 10° to 80°:
16.6°, I 26; 22.2°, I 34; 32.6°, I 49; 33.8°, I 100; 41.8°, I 78; 45.1°, I 69; 47.5°, I 27; 54.0°, I 22; 60.6°, I 25; 65.0°, I 20; 71.2°, I 20; 78.6°, I 26


# 3
# TeMoWSeS2
Simulated powder diffraction line list, copper Kα. Input: DFT lattice parameters and positions (GGA-PBE).
Intensities are scaled so that the largest is 100.

Structure:
```
TeMoWSeS2
1.0
3.306 0.000 0.000
-1.653 2.863 0.000
0.000 0.000 37.608
Te Mo W Se S
2 2 2 2 4
direct
0.000 0.000 0.000
0.000 0.000 0.102
0.667 0.333 0.051
0.667 0.333 0.427
0.000 0.000 0.239
0.000 0.000 0.614
0.667 0.333 0.570
0.667 0.333 0.659
0.000 0.000 0.386
0.000 0.000 0.467
0.667 0.333 0.198
0.667 0.333 0.280
```

Largest 12 diffraction maxima, in order of rising 2θ, 2θ from 10° to 80°:
11.8°, I 100; 14.1°, I 24; 31.3°, I 40; 31.6°, I 12; 33.5°, I 15; 36.8°, I 79; 39.6°, I 17; 44.5°, I 40; 46.3°, I 13; 55.6°, I 23; 68.5°, I 13; 78.8°, I 12


# 4
# Na2ScCuF6
Simulated powder diffraction line list, copper Kα. Input: DFT lattice parameters and positions (GGA-PBE).
Intensities are scaled so that the largest is 100.

Structure:
```
Na2ScCuF6
1.0
0.000 4.199 4.199
4.199 0.000 4.199
4.199 4.199 0.000
Na Sc Cu F
2 1 1 6
direct
0.250 0.250 0.250
0.750 0.750 0.750
0.000 0.000 0.000
0.500 0.500 0.500
0.240 0.240 0.760
0.240 0.760 0.240
0.240 0.760 0.760
0.760 0.240 0.240
0.760 0.240 0.760
0.760 0.760 0.240
```

Largest 12 diffraction maxima, in order of rising 2θ, 2θ from 10° to 80°:
21.2°, I 92; 30.1°, I 100; 35.5°, I 6; 37.1°, I 7; 43.1°, I 90; 47.2°, I 5; 48.5°, I 33; 53.5°, I 38; 62.6°, I 49; 66.8°, I 14; 71.0°, I 16; 79.0°, I 14


# 5
# TaPd2
Simulated powder diffraction line list, copper Kα. Input: DFT lattice parameters and positions (GGA-PBE).
Intensities are scaled so that the largest is 100.

Structure:
```
TaPd2
1.0
-1.455 1.934 4.256
1.455 -1.934 4.256
1.455 1.934 -4.256
Ta Pd
1 2
direct
0.000 0.000 0.000
0.335 0.335 0.000
0.665 0.665 0.000
```

Largest 12 diffraction maxima, in order of rising 2θ, 2θ from 10° to 80°:
20.9°, I 8; 25.3°, I 8; 38.7°, I 100; 39.4°, I 95; 44.4°, I 5; 44.6°, I 67; 47.0°, I 29; 64.0°, I 11; 65.8°, I 10; 66.8°, I 40; 77.8°, I 26; 79.1°, I 25


# 6
# U5PS4
Simulated powder diffraction line list, copper Kα. Input: DFT lattice parameters and positions (GGA-PBE).
Intensities are scaled so that the largest is 100.

Structure:
```
U5PS4
1.0
1.938 1.119 15.862
-1.938 1.119 15.862
0.000 -2.238 15.862
U P S
5 1 4
direct
0.000 0.000 0.000
0.200 0.200 0.200
0.400 0.400 0.400
0.600 0.600 0.600
0.800 0.800 0.800
0.500 0.500 0.500
0.100 0.100 0.100
0.300 0.300 0.300
0.700 0.700 0.700
0.900 0.900 0.900
```

Largest 12 diffraction maxima, in order of rising 2θ, 2θ from 10° to 80°:
28.2°, I 100; 32.6°, I 94; 46.8°, I 69; 55.5°, I 37; 55.6°, I 12; 58.2°, I 6; 58.3°, I 18; 68.4°, I 12; 75.5°, I 11; 75.6°, I 11; 77.8°, I 17; 77.9°, I 17


# 7
# Sm3MgBiRu4O14
Simulated powder diffraction line list, copper Kα. Input: DFT lattice parameters and positions (GGA-PBE).
Intensities are scaled so that the largest is 100.

Structure:
```
Sm3MgBiRu4O14
1.0
7.429 0.000 0.000
3.643 6.485 0.000
3.642 2.134 6.124
Sm Mg Bi Ru O
3 1 1 4 14
direct
0.000 0.000 0.000
0.000 0.476 0.525
0.527 0.475 0.000
0.285 0.762 0.286
0.018 0.488 0.014
0.003 0.005 0.530
0.530 0.003 0.527
0.530 0.479 0.529
0.531 0.005 0.004
0.175 0.648 0.172
0.180 0.087 0.612
0.182 0.084 0.180
0.182 0.656 0.608
0.441 0.325 0.850
0.449 0.320 0.447
0.449 0.922 0.845
0.608 0.657 0.181
0.613 0.088 0.178
0.613 0.654 0.613
0.850 0.325 0.440
0.850 0.915 0.849
0.852 0.918 0.442
0.899 0.371 0.896
```

Largest 12 diffraction maxima, in order of rising 2θ, 2θ from 10° to 80°:
14.5°, I 9; 29.2°, I 100; 29.6°, I 32; 33.9°, I 49; 48.5°, I 34; 49.0°, I 29; 57.6°, I 14; 57.8°, I 20; 57.9°, I 9; 58.3°, I 12; 60.5°, I 11; 78.5°, I 11


# 8
# CdTe2Pb
Simulated powder diffraction line list, copper Kα. Input: DFT lattice parameters and positions (GGA-PBE).
Intensities are scaled so that the largest is 100.

Structure:
```
CdTe2Pb
1.0
4.501 0.000 0.000
0.000 4.501 0.000
0.000 0.000 6.369
Cd Te Pb
1 2 1
direct
0.000 0.000 0.000
0.000 0.000 0.500
0.500 0.500 0.000
0.500 0.500 0.500
```

Largest 12 diffraction maxima, in order of rising 2θ, 2θ from 10° to 80°:
13.9°, I 4; 19.7°, I 4; 24.2°, I 3; 28.0°, I 100; 31.4°, I 2; 34.5°, I 2; 40.1°, I 77; 47.4°, I 2; 49.6°, I 28; 57.9°, I 13; 65.6°, I 36; 72.8°, I 26


# 9
# EuGePt
Simulated powder diffraction line list, copper Kα. Input: DFT lattice parameters and positions (GGA-PBE).
Intensities are scaled so that the largest is 100.

Structure:
```
EuGePt
1.0
6.589 0.000 0.000
0.000 6.589 0.000
0.000 0.000 6.589
Eu Ge Pt
4 4 4
direct
0.128 0.128 0.128
0.372 0.872 0.628
0.628 0.372 0.872
0.872 0.628 0.372
0.174 0.326 0.674
0.326 0.674 0.174
0.674 0.174 0.326
0.826 0.826 0.826
0.076 0.576 0.924
0.424 0.424 0.424
0.576 0.924 0.076
0.924 0.076 0.576
```

Largest 12 diffraction maxima, in order of rising 2θ, 2θ from 10° to 80°:
23.4°, I 14; 30.3°, I 100; 33.3°, I 80; 41.1°, I 23; 45.7°, I 22; 51.9°, I 57; 55.8°, I 10; 57.7°, I 22; 61.3°, I 13; 64.8°, I 15; 73.2°, I 15; 78.1°, I 23


# 10
# La3AgSnSe7
Simulated powder diffraction line list, copper Kα. Input: DFT lattice parameters and positions (GGA-PBE).
Intensities are scaled so that the largest is 100.

Structure:
```
La3AgSnSe7
1.0
10.924 0.000 0.000
-5.462 9.461 0.000
0.000 0.000 6.330
La Ag Sn Se
6 2 2 14
direct
0.133 0.777 0.000
0.223 0.357 0.000
0.357 0.133 0.500
0.643 0.867 0.000
0.777 0.643 0.500
0.867 0.223 0.500
0.000 0.000 0.437
0.000 0.000 0.937
0.333 0.667 0.582
0.667 0.333 0.082
0.089 0.514 0.754
0.103 0.834 0.475
0.166 0.270 0.475
0.270 0.103 0.975
0.333 0.667 0.183
0.425 0.911 0.754
0.486 0.575 0.754
0.514 0.425 0.254
0.575 0.089 0.254
0.667 0.333 0.683
0.730 0.897 0.475
0.834 0.730 0.975
0.897 0.166 0.975
0.911 0.486 0.254
```

Largest 12 diffraction maxima, in order of rising 2θ, 2θ from 10° to 80°:
23.5°, I 37; 28.2°, I 21; 28.7°, I 40; 29.8°, I 51; 31.7°, I 32; 32.8°, I 100; 34.1°, I 91; 37.1°, I 19; 38.0°, I 50; 43.8°, I 41; 44.9°, I 26; 62.0°, I 20


# 11
# KBaP3O10
Simulated powder diffraction line list, copper Kα. Input: DFT lattice parameters and positions (GGA-PBE).
Intensities are scaled so that the largest is 100.

Structure:
```
KBaP3O10
1.0
7.227 0.000 0.000
0.000 17.556 0.000
-6.249 0.000 7.518
K Ba P O
4 4 12 40
direct
0.107 0.245 0.111
0.107 0.255 0.611
0.893 0.745 0.389
0.893 0.755 0.889
0.074 0.545 0.228
0.074 0.955 0.728
0.926 0.045 0.272
0.926 0.455 0.772
0.382 0.748 0.378
0.382 0.752 0.878
0.424 0.605 0.039
0.424 0.895 0.539
0.462 0.607 0.761
0.462 0.893 0.261
0.538 0.107 0.739
0.538 0.393 0.239
0.576 0.105 0.461
0.576 0.395 0.961
0.618 0.248 0.122
0.618 0.252 0.622
0.167 0.697 0.265
0.167 0.803 0.765
0.254 0.565 0.052
0.254 0.935 0.552
0.269 0.104 0.619
0.269 0.396 0.119
0.310 0.108 0.311
0.310 0.392 0.811
0.310 0.574 0.578
0.310 0.926 0.078
0.324 0.692 0.974
0.324 0.808 0.474
0.365 0.571 0.858
0.365 0.929 0.358
0.369 0.215 0.988
0.369 0.285 0.488
0.376 0.696 0.740
0.376 0.804 0.240
0.411 0.077 0.994
0.411 0.423 0.494
0.589 0.577 0.506
0.589 0.923 0.006
0.624 0.196 0.760
0.624 0.304 0.260
0.631 0.715 0.512
0.631 0.785 0.012
0.635 0.071 0.642
0.635 0.429 0.142
0.676 0.192 0.526
0.676 0.308 0.026
0.690 0.074 0.922
0.690 0.426 0.422
0.690 0.608 0.189
0.690 0.892 0.689
0.731 0.604 0.881
0.731 0.896 0.381
0.746 0.065 0.448
0.746 0.435 0.948
0.833 0.197 0.235
0.833 0.303 0.735
```

Largest 12 diffraction maxima, in order of rising 2θ, 2θ from 10° to 80°:
12.8°, I 70; 16.0°, I 77; 18.9°, I 50; 23.8°, I 51; 25.8°, I 100; 26.6°, I 69; 26.9°, I 52; 27.3°, I 78; 29.4°, I 58; 30.0°, I 71; 30.6°, I 50; 45.2°, I 70